For Mg3Si4, a crystal structure in Alexandria, relaxed with PBE gives the computed powder diffractogram in this record (Cu Kα (weighted mean of Kα1 and Kα2)).

Top 10 peaks for 2θ from 10° to 90°, low angle first:
index  2θ/deg  I (rel.)
1 0 2  30.75  45
0 1 -2  32.41  61
0 1 3  33.84  52
1 2 -1  35.42  47
0 3 1  35.69  50
1 3 1  35.93  100
1 2 3  36.80  73
2 0 0  38.32  70
1 -2 1  41.22  52
2 3 1  45.58  45

Structural model:
```
data_Mg3Si4
_chemical_formula_sum 'Mg6 Si8'
_cell_length_a 4.870
_cell_length_b 7.863
_cell_length_c 8.049
_cell_angle_alpha 64.09
_cell_angle_beta 81.98
_cell_angle_gamma 74.82
_symmetry_space_group_name_H-M 'P 1'
_symmetry_Int_Tables_number 1
loop_
_symmetry_equiv_pos_as_xyz
'x,y,z'
loop_
_atom_site_label
_atom_site_fract_x
_atom_site_fract_y
_atom_site_fract_z
Mg1 0.000 0.000 0.000
Mg2 0.023 0.568 0.015
Mg3 0.054 0.798 0.534
Mg4 0.378 0.065 0.609
Mg5 0.418 0.273 0.894
Mg6 0.527 0.439 0.281
Si1 0.054 0.179 0.236
Si2 0.499 0.669 0.817
Si3 0.551 0.764 0.330
Si4 0.559 0.846 0.997
Si5 0.595 0.087 0.258
Si6 0.817 0.221 0.623
Si7 0.897 0.437 0.754
Si8 0.981 0.513 0.422
```



For Mg3Si4, a crystal structure in Alexandria, relaxed with PBE gives the computed powder diffractogram in this record (Cu Kα (weighted mean of Kα1 and Kα2)).

Top 10 peaks for 2θ from 10° to 90°, low angle first:
index  2θ/deg  I (rel.)
1 1 -2  30.63  12
2 1 0  36.57  14
2 1 -1  36.66  36
1 0 -4  37.01  26
2 1 -2  38.98  29
1 1 3  39.44  100
2 1 -3  43.27  18
0 2 0  44.32  38
1 2 -4  59.07  12
1 3 3  78.28  13

Structural model:
```
data_Mg3Si4
_chemical_formula_sum 'Mg6 Si8'
_cell_length_a 6.211
_cell_length_b 4.087
_cell_length_c 10.044
_cell_angle_alpha 90.00
_cell_angle_beta 98.30
_cell_angle_gamma 90.00
_symmetry_space_group_name_H-M 'P 1 m 1'
_symmetry_Int_Tables_number 6
loop_
_symmetry_equiv_pos_as_xyz
'x,y,z'
'x,-y,z'
loop_
_atom_site_label
_atom_site_fract_x
_atom_site_fract_y
_atom_site_fract_z
Mg1 0.000 0.000 0.000
Mg2 0.000 0.500 0.500
Mg3 0.213 0.000 0.290
Mg4 0.369 0.000 0.867
Mg5 0.631 0.000 0.133
Mg6 0.787 0.000 0.710
Si1 0.063 0.500 0.804
Si2 0.322 0.500 0.076
Si3 0.346 0.000 0.562
Si4 0.415 0.500 0.695
Si5 0.585 0.500 0.305
Si6 0.655 0.000 0.438
Si7 0.678 0.500 0.924
Si8 0.937 0.500 0.196
```



For Mg4Si7, a crystal structure in Alexandria, relaxed with PBE gives the computed powder diffractogram in this record (Cu Kα (weighted mean of Kα1 and Kα2)).

Top 10 peaks for 2θ from 10° to 90°, low angle first:
index  2θ/deg  I (rel.)
1 1 3  33.30  65
2 1 0  35.85  45
2 1 -2  36.41  35
2 1 1  37.10  46
2 0 -5  37.33  44
0 1 5  37.68  100
2 1 -3  38.17  67
1 1 -5  38.51  52
2 1 2  39.27  42
0 2 0  46.35  95

Structural model:
```
data_Mg4Si7
_chemical_formula_sum 'Mg8 Si14'
_cell_length_a 6.595
_cell_length_b 3.918
_cell_length_c 15.243
_cell_angle_alpha 90.00
_cell_angle_beta 99.09
_cell_angle_gamma 90.00
_symmetry_space_group_name_H-M 'P 1 m 1'
_symmetry_Int_Tables_number 6
loop_
_symmetry_equiv_pos_as_xyz
'x,y,z'
'x,-y,z'
loop_
_atom_site_label
_atom_site_fract_x
_atom_site_fract_y
_atom_site_fract_z
Mg1 0.000 0.000 0.000
Mg2 0.001 0.000 0.773
Mg3 0.229 0.000 0.239
Mg4 0.293 0.500 0.420
Mg5 0.354 0.500 0.086
Mg6 0.458 0.000 0.932
Mg7 0.698 0.000 0.162
Mg8 0.803 0.500 0.483
Si1 0.069 0.500 0.640
Si2 0.154 0.500 0.900
Si3 0.158 0.000 0.551
Si4 0.337 0.500 0.773
Si5 0.534 0.000 0.549
Si6 0.547 0.500 0.276
Si7 0.576 0.000 0.384
Si8 0.581 0.000 0.762
Si9 0.687 0.500 0.650
Si10 0.705 0.500 0.019
Si11 0.772 0.500 0.865
Si12 0.923 0.500 0.288
Si13 0.979 0.000 0.391
Si14 0.992 0.500 0.137
```



For Mg4Si7, a crystal structure in Alexandria, relaxed with PBE gives the computed powder diffractogram in this record (Cu Kα (weighted mean of Kα1 and Kα2)).

Top 10 peaks for 2θ from 10° to 90°, low angle first:
index  2θ/deg  I (rel.)
2 1 -1  35.33  35
1 1 -4  35.62  99
2 1 1  35.73  30
1 1 4  36.40  91
2 1 -2  36.76  58
2 1 2  37.52  71
0 1 5  38.28  81
3 0 2  42.55  30
3 0 -3  43.61  30
0 2 0  45.94  100

Structural model:
```
data_Mg4Si7
_chemical_formula_sum 'Mg8 Si14'
_cell_length_a 6.752
_cell_length_b 3.951
_cell_length_c 14.645
_cell_angle_alpha 90.00
_cell_angle_beta 92.39
_cell_angle_gamma 90.00
_symmetry_space_group_name_H-M 'P 1 m 1'
_symmetry_Int_Tables_number 6
loop_
_symmetry_equiv_pos_as_xyz
'x,y,z'
'x,-y,z'
loop_
_atom_site_label
_atom_site_fract_x
_atom_site_fract_y
_atom_site_fract_z
Mg1 0.000 0.000 0.000
Mg2 0.007 0.000 0.532
Mg3 0.019 0.500 0.181
Mg4 0.115 0.000 0.763
Mg5 0.499 0.000 0.921
Mg6 0.528 0.500 0.279
Mg7 0.631 0.000 0.695
Mg8 0.805 0.500 0.848
Si1 0.189 0.500 0.900
Si2 0.214 0.000 0.306
Si3 0.250 0.500 0.418
Si4 0.268 0.500 0.626
Si5 0.332 0.000 0.150
Si6 0.344 0.500 0.050
Si7 0.421 0.500 0.781
Si8 0.423 0.000 0.526
Si9 0.665 0.500 0.533
Si10 0.700 0.000 0.149
Si11 0.708 0.500 0.038
Si12 0.848 0.000 0.305
Si13 0.874 0.500 0.404
Si14 0.915 0.500 0.662
```



For Mg4Si7, a crystal structure in Alexandria, relaxed with PBE gives the computed powder diffractogram in this record (Cu Kα (weighted mean of Kα1 and Kα2)).

Top 10 peaks for 2θ from 10° to 90°, low angle first:
index  2θ/deg  I (rel.)
2 1 0  34.43  20
2 1 1  35.28  29
1 1 -4  35.72  82
2 1 -2  36.47  56
1 1 4  36.58  76
2 1 2  37.32  45
0 1 5  38.87  39
0 2 0  42.11  100
3 0 -2  42.90  26
0 1 6  44.80  23

Structural model:
```
data_Mg4Si7
_chemical_formula_sum 'Mg8 Si14'
_cell_length_a 6.560
_cell_length_b 4.292
_cell_length_c 13.776
_cell_angle_alpha 90.00
_cell_angle_beta 92.41
_cell_angle_gamma 90.00
_symmetry_space_group_name_H-M 'P 1 m 1'
_symmetry_Int_Tables_number 6
loop_
_symmetry_equiv_pos_as_xyz
'x,y,z'
'x,-y,z'
loop_
_atom_site_label
_atom_site_fract_x
_atom_site_fract_y
_atom_site_fract_z
Mg1 0.000 0.000 0.000
Mg2 0.014 0.500 0.341
Mg3 0.111 0.000 0.747
Mg4 0.306 0.500 0.921
Mg5 0.499 0.000 0.071
Mg6 0.523 0.500 0.272
Mg7 0.540 0.000 0.602
Mg8 0.624 0.000 0.831
Si1 0.021 0.000 0.517
Si2 0.149 0.500 0.604
Si3 0.185 0.000 0.223
Si4 0.221 0.500 0.124
Si5 0.318 0.000 0.392
Si6 0.382 0.500 0.473
Si7 0.419 0.500 0.732
Si8 0.693 0.500 0.974
Si9 0.709 0.000 0.388
Si10 0.754 0.500 0.495
Si11 0.786 0.500 0.682
Si12 0.813 0.000 0.219
Si13 0.851 0.500 0.132
Si14 0.930 0.500 0.849
```



For Mg3Si4, a crystal structure in Alexandria, relaxed with PBE gives the computed powder diffractogram in this record (Cu Kα (weighted mean of Kα1 and Kα2)).

Top 10 peaks for 2θ from 10° to 90°, low angle first:
index  2θ/deg  I (rel.)
1 1 -1  23.93  51
1 1 -2  30.50  63
1 1 2  33.07  76
5 1 -1  33.91  85
5 1 0  34.93  56
5 1 -2  36.76  38
3 1 2  38.88  46
5 1 -3  42.82  100
0 2 0  43.26  97
5 1 2  46.93  35

Structural model:
```
data_Mg3Si4
_chemical_formula_sum 'Mg12 Si16'
_cell_length_a 17.154
_cell_length_b 4.183
_cell_length_c 8.240
_cell_angle_alpha 90.00
_cell_angle_beta 108.43
_cell_angle_gamma 90.00
_symmetry_space_group_name_H-M 'C 1 m 1'
_symmetry_Int_Tables_number 8
loop_
_symmetry_equiv_pos_as_xyz
'x,y,z'
'x,-y,z'
'x+1/2,y+1/2,z'
'x+1/2,-y+1/2,z'
loop_
_atom_site_label
_atom_site_fract_x
_atom_site_fract_y
_atom_site_fract_z
Mg1 0.000 0.000 0.000
Mg2 0.001 0.500 0.271
Mg3 0.056 0.500 0.733
Mg4 0.188 0.000 0.999
Mg5 0.252 0.500 0.767
Mg6 0.353 0.500 0.190
Si1 0.106 0.500 0.088
Si2 0.139 0.000 0.638
Si3 0.231 0.000 0.477
Si4 0.231 0.500 0.320
Si5 0.349 0.000 0.980
Si6 0.361 0.000 0.697
Si7 0.427 0.500 0.668
Si8 0.498 0.500 0.468
```



For Mg5Si6, a crystal structure in Alexandria, relaxed with PBE gives the computed powder diffractogram in this record (Cu Kα (weighted mean of Kα1 and Kα2)).

Top 10 peaks for 2θ from 10° to 90°, low angle first:
index  2θ/deg  I (rel.)
1 0 -2  33.92  26
0 2 2  35.31  100
2 1 -1  35.81  87
1 5 0  36.24  34
1 4 1  36.57  89
1 5 -1  38.36  71
1 3 -2  39.08  34
2 1 1  42.13  29
2 3 1  46.05  25
1 6 3  70.77  22

Structural model:
```
data_Mg5Si6
_chemical_formula_sum 'Mg10 Si12'
_cell_length_a 5.281
_cell_length_b 14.145
_cell_length_c 5.564
_cell_angle_alpha 90.00
_cell_angle_beta 101.80
_cell_angle_gamma 90.00
_symmetry_space_group_name_H-M 'P 1 21 1'
_symmetry_Int_Tables_number 4
loop_
_symmetry_equiv_pos_as_xyz
'x,y,z'
'-x,y+1/2,-z'
loop_
_atom_site_label
_atom_site_fract_x
_atom_site_fract_y
_atom_site_fract_z
Mg1 0.022 0.000 0.275
Mg2 0.122 0.880 0.795
Mg3 0.195 0.090 0.813
Mg4 0.364 0.290 0.986
Mg5 0.396 0.636 0.556
Si1 0.122 0.796 0.300
Si2 0.139 0.221 0.437
Si3 0.160 0.688 0.965
Si4 0.327 0.488 0.210
Si5 0.456 0.355 0.493
Si6 0.497 0.971 0.164
```



For Mg2Si3, a crystal structure in Alexandria, relaxed with PBE gives the computed powder diffractogram in this record (Cu Kα (weighted mean of Kα1 and Kα2)).

Top 10 peaks for 2θ from 10° to 90°, low angle first:
index  2θ/deg  I (rel.)
0 1 -2  19.60  71
1 -1 0  34.00  51
-1 1 1  34.23  60
1 2 1  34.62  67
1 2 2  35.00  67
0 2 4  35.17  65
0 2 -4  39.80  100
1 0 -6  41.18  81
1 1 7  42.17  85
2 1 1  51.15  93

Structural model:
```
data_Mg2Si3
_chemical_formula_sum 'Mg8 Si12'
_cell_length_a 3.573
_cell_length_b 5.993
_cell_length_c 17.876
_cell_angle_alpha 81.57
_cell_angle_beta 85.53
_cell_angle_gamma 73.71
_symmetry_space_group_name_H-M 'P -1'
_symmetry_Int_Tables_number 2
loop_
_symmetry_equiv_pos_as_xyz
'x,y,z'
'-x,-y,-z'
loop_
_atom_site_label
_atom_site_fract_x
_atom_site_fract_y
_atom_site_fract_z
Mg1 0.017 0.164 0.302
Mg2 0.102 0.360 0.937
Mg3 0.279 0.145 0.796
Mg4 0.346 0.339 0.449
Si1 0.093 0.192 0.138
Si2 0.095 0.879 0.448
Si3 0.313 0.550 0.306
Si4 0.321 0.215 0.642
Si5 0.325 0.886 0.960
Si6 0.446 0.456 0.178
```



For Mg4Si3, a crystal structure in Alexandria, relaxed with PBE gives the computed powder diffractogram in this record (Cu Kα (weighted mean of Kα1 and Kα2)).

Top 10 peaks for 2θ from 10° to 90°, low angle first:
index  2θ/deg  I (rel.)
2 0 1  33.01  50
2 1 0  33.26  57
0 1 3  33.51  87
0 0 3  35.35  35
1 1 -2  35.88  37
0 2 -1  36.15  54
1 -2 0  36.78  55
2 2 0  40.81  45
-2 1 2  44.16  73
2 2 3  44.41  100

Structural model:
```
data_Mg4Si3
_chemical_formula_sum 'Mg8 Si6'
_cell_length_a 5.736
_cell_length_b 6.383
_cell_length_c 8.196
_cell_angle_alpha 69.24
_cell_angle_beta 79.90
_cell_angle_gamma 77.75
_symmetry_space_group_name_H-M 'P -1'
_symmetry_Int_Tables_number 2
loop_
_symmetry_equiv_pos_as_xyz
'x,y,z'
'-x,-y,-z'
loop_
_atom_site_label
_atom_site_fract_x
_atom_site_fract_y
_atom_site_fract_z
Mg1 0.000 0.000 0.000
Mg2 0.109 0.820 0.674
Mg3 0.244 0.342 0.594
Mg4 0.355 0.494 0.165
Mg5 0.500 0.000 0.000
Si1 0.167 0.407 0.919
Si2 0.212 0.791 0.334
Si3 0.429 0.061 0.359
```



For Mg2Si3, a crystal structure in Alexandria, relaxed with PBE gives the computed powder diffractogram in this record (Cu Kα (weighted mean of Kα1 and Kα2)).

Top 10 peaks for 2θ from 10° to 90°, low angle first:
index  2θ/deg  I (rel.)
1 1 -2  33.20  49
1 0 -5  33.94  29
1 -2 2  34.90  36
0 0 6  35.10  35
-1 2 2  35.23  58
-1 1 5  35.42  31
1 1 2  36.10  39
0 2 -3  38.10  32
2 -1 0  39.11  100
0 3 0  54.06  28

Structural model:
```
data_Mg2Si3
_chemical_formula_sum 'Mg8 Si12'
_cell_length_a 4.629
_cell_length_b 5.564
_cell_length_c 15.473
_cell_angle_alpha 92.39
_cell_angle_beta 95.55
_cell_angle_gamma 113.37
_symmetry_space_group_name_H-M 'P 1'
_symmetry_Int_Tables_number 1
loop_
_symmetry_equiv_pos_as_xyz
'x,y,z'
loop_
_atom_site_label
_atom_site_fract_x
_atom_site_fract_y
_atom_site_fract_z
Mg1 0.000 0.000 0.000
Mg2 0.002 0.889 0.494
Mg3 0.167 0.297 0.182
Mg4 0.177 0.291 0.815
Mg5 0.328 0.595 0.998
Mg6 0.672 0.294 0.495
Mg7 0.820 0.596 0.679
Mg8 0.837 0.595 0.312
Si1 0.081 0.184 0.643
Si2 0.157 0.208 0.354
Si3 0.297 0.595 0.580
Si4 0.386 0.653 0.423
Si5 0.441 0.871 0.168
Si6 0.489 0.876 0.824
Si7 0.507 0.011 0.670
Si8 0.561 0.020 0.325
Si9 0.617 0.239 0.071
Si10 0.701 0.292 0.914
Si11 0.845 0.683 0.139
Si12 0.915 0.703 0.851
```



For Mg4Si7, a crystal structure in Alexandria, relaxed with PBE gives the computed powder diffractogram in this record (Cu Kα (weighted mean of Kα1 and Kα2)).

Top 10 peaks for 2θ from 10° to 90°, low angle first:
index  2θ/deg  I (rel.)
1 2 3  35.34  65
1 1 -3  35.47  85
-1 2 2  35.89  50
-1 1 4  36.14  59
1 1 5  36.71  33
1 -1 4  36.97  100
0 3 3  40.00  36
1 0 -5  41.16  38
0 3 -1  41.82  35
2 0 1  45.74  89

Structural model:
```
data_Mg4Si7
_chemical_formula_sum 'Mg8 Si14'
_cell_length_a 3.971
_cell_length_b 6.984
_cell_length_c 14.667
_cell_angle_alpha 76.62
_cell_angle_beta 83.63
_cell_angle_gamma 88.35
_symmetry_space_group_name_H-M 'P 1'
_symmetry_Int_Tables_number 1
loop_
_symmetry_equiv_pos_as_xyz
'x,y,z'
loop_
_atom_site_label
_atom_site_fract_x
_atom_site_fract_y
_atom_site_fract_z
Mg1 0.000 0.000 0.000
Mg2 0.039 0.548 0.920
Mg3 0.080 0.241 0.762
Mg4 0.149 0.816 0.696
Mg5 0.399 0.340 0.279
Mg6 0.442 0.926 0.184
Mg7 0.563 0.896 0.850
Mg8 0.842 0.284 0.446
Si1 0.290 0.402 0.563
Si2 0.310 0.964 0.437
Si3 0.361 0.630 0.405
Si4 0.494 0.684 0.043
Si5 0.499 0.319 0.047
Si6 0.533 0.249 0.896
Si7 0.603 0.557 0.783
Si8 0.626 0.117 0.650
Si9 0.753 0.541 0.621
Si10 0.755 0.892 0.547
Si11 0.885 0.043 0.306
Si12 0.900 0.681 0.305
Si13 0.955 0.602 0.151
Si14 0.962 0.245 0.147
```